Structure and calculated powder XRD pattern of Li5Mn2Fe3P6O24 (a cell relaxed with PBE+U; Cu Kα, 1.54184 Å).

Structural model:
```
Li5Mn2Fe3P6O24
1.0
8.548 0.000 0.000
4.052 7.613 0.000
4.046 2.480 7.212
Li Mn Fe P O
5 2 3 6 24
direct
0.000 0.000 0.000 Li
0.006 0.822 0.352 Li
0.353 0.011 0.817 Li
0.817 0.356 0.007 Li
0.909 0.303 0.511 Li
0.162 0.157 0.147 Mn
0.643 0.667 0.655 Mn
0.304 0.307 0.296 Fe
0.507 0.517 0.508 Fe
0.805 0.811 0.812 Fe
0.105 0.414 0.694 P
0.209 0.912 0.608 P
0.410 0.702 0.112 P
0.606 0.213 0.910 P
0.703 0.119 0.412 P
0.908 0.612 0.209 P
0.044 0.849 0.654 O
0.058 0.412 0.229 O
0.101 0.257 0.885 O
0.123 0.353 0.543 O
0.189 0.970 0.758 O
0.205 0.077 0.419 O
0.254 0.893 0.101 O
0.267 0.482 0.633 O
0.344 0.546 0.151 O
0.400 0.754 0.577 O
0.410 0.229 0.064 O
0.489 0.651 0.262 O
0.535 0.169 0.355 O
0.562 0.727 0.913 O
0.595 0.399 0.742 O
0.647 0.049 0.852 O
0.676 0.267 0.480 O
0.720 0.922 0.565 O
0.753 0.580 0.405 O
0.758 0.187 0.973 O
0.847 0.653 0.048 O
0.892 0.102 0.252 O
0.909 0.569 0.725 O
0.970 0.762 0.186 O
```

Most intense lines, 2θ = 10–90°, by intensity:
| Position (°2θ) | Rel. int. | (hkl) |
| --- | --- | --- |
| 20.07 | 100.0 | 0 1 -1 |
| 23.86 | 72.0 | 1 0 2 |
| 35.13 | 71.3 | -2 1 1 |
| 23.76 | 71.3 | 0 2 1 |
| 23.99 | 71.0 | 2 1 0 |
| 32.68 | 48.3 | 1 3 2 |
| 32.86 | 45.2 | 2 1 3 |
| 33.04 | 44.2 | 3 2 1 |
| 54.89 | 35.4 | 1 -3 2 |
| 31.15 | 26.7 | 1 -2 0 |